(1)
Diffraction record for KOsO3. The powder X-ray diffraction pattern is theoretical, not measured: it uses a crystal structure in the Materials Project, relaxed with GGA-PBE and Cu Kα (weighted mean of Kα1 and Kα2).

Structural model:
Cell lengths 3.931, 3.931, 3.931 Å; angles 90.00, 90.00, 90.00 degrees
Atoms (fractional coordinates):
K (0.000, 0.000, 0.000)
Os (0.500, 0.500, 0.500)
O (0.000, 0.500, 0.500)
O (0.500, 0.000, 0.500)
O (0.500, 0.500, 0.000)

Most intense lines, 10° ≤ 2θ ≤ 90°, low angle first:
index  2theta  I_rel
1 0 0  22.62  71.5
1 1 0  32.20  100.0
1 1 1  39.71  8.4
2 0 0  46.18  30.7
2 1 0  52.02  31.8
2 1 1  57.42  39.1
2 2 0  67.38  18.5
3 0 0  72.08  15.2
3 1 0  76.65  17.0
3 1 1  81.14  4.7
2 2 2  85.58  6.3
3 2 0  89.99  7.2

***

(2)
Diffraction record for K2OsO5. The powder X-ray diffraction pattern is theoretical, not measured: it uses a crystal structure in the Materials Project, relaxed with GGA-PBE and Cu Kα (weighted mean of Kα1 and Kα2).

Structural model:
Cell lengths 10.920, 10.920, 8.298 Å; angles 90.00, 90.00, 120.00 degrees
Atoms (fractional coordinates):
K (0.000, 0.000, 0.241)
K (0.000, 0.000, 0.759)
K (0.002, 0.700, 0.500)
K (0.003, 0.372, 0.000)
K (0.300, 0.302, 0.500)
K (0.333, 0.667, 0.253)
K (0.333, 0.667, 0.747)
K (0.369, 0.997, 0.000)
K (0.628, 0.631, 0.000)
K (0.667, 0.333, 0.258)
K (0.667, 0.333, 0.742)
K (0.698, 0.998, 0.500)
Os (0.000, 0.365, 0.500)
Os (0.013, 0.709, 0.000)
Os (0.291, 0.303, 0.000)
Os (0.366, 0.000, 0.500)
Os (0.635, 0.634, 0.500)
Os (0.697, 0.987, 0.000)
O (0.085, 0.796, 0.188)
O (0.085, 0.796, 0.812)
O (0.142, 0.649, 0.000)
O (0.192, 0.465, 0.500)
O (0.202, 0.001, 0.500)
O (0.204, 0.289, 0.188)
O (0.204, 0.289, 0.812)
O (0.212, 0.111, 0.000)
O (0.273, 0.808, 0.500)
O (0.351, 0.493, 0.000)
O (0.453, 0.002, 0.316)
O (0.453, 0.002, 0.684)
O (0.464, 0.195, 0.500)
O (0.468, 0.331, 0.000)
O (0.507, 0.858, 0.000)
O (0.535, 0.727, 0.500)
O (0.549, 0.547, 0.316)
O (0.549, 0.547, 0.684)
O (0.669, 0.137, 0.000)
O (0.711, 0.915, 0.188)
O (0.711, 0.915, 0.812)
O (0.730, 0.536, 0.500)
O (0.799, 0.798, 0.500)
O (0.805, 0.270, 0.500)
O (0.863, 0.532, 0.000)
O (0.889, 0.101, 0.000)
O (0.899, 0.788, 0.000)
O (0.998, 0.451, 0.316)
O (0.998, 0.451, 0.684)
O (0.999, 0.201, 0.500)

Most intense lines, 10° ≤ 2θ ≤ 90°, low angle first:
index  2theta  I_rel
1 1 0  16.23  23.2
1 1 1  19.46  100.0
0 0 2  21.42  32.0
1 2 0  24.91  16.8
1 1 2  26.99  46.6
3 0 0  28.31  49.3
3 0 2  35.77  21.8
1 1 3  36.41  15.8
2 2 2  39.51  21.7
0 0 4  43.63  10.4
3 0 4  52.83  17.3
4 2 2  56.02  11.0

***

(3)
Diffraction record for K2OsO5. The powder X-ray diffraction pattern is theoretical, not measured: it uses a crystal structure in the Materials Project, relaxed with GGA-PBE and Cu Kα (weighted mean of Kα1 and Kα2).

Structural model:
Cell lengths 8.406, 10.945, 11.023 Å; angles 119.42, 91.51, 90.81 degrees
Atoms (fractional coordinates):
K (0.000, 0.000, 0.000)
K (0.001, 0.246, 0.613)
K (0.014, 0.624, 0.259)
K (0.239, 0.616, 0.632)
K (0.261, 0.284, 0.959)
K (0.272, 0.953, 0.297)
K (0.446, 0.632, 0.922)
K (0.491, 0.338, 0.330)
K (0.559, 0.932, 0.644)
K (0.740, 0.955, 0.287)
K (0.741, 0.315, 0.985)
K (0.746, 0.622, 0.623)
Os (0.007, 0.634, 0.937)
Os (0.009, 0.920, 0.628)
Os (0.500, 0.271, 0.631)
Os (0.504, 0.997, 0.999)
Os (0.510, 0.640, 0.274)
Os (0.996, 0.342, 0.322)
O (0.004, 0.169, 0.301)
O (0.008, 0.279, 0.135)
O (0.015, 0.769, 0.120)
O (0.050, 0.104, 0.756)
O (0.123, 0.499, 0.802)
O (0.132, 0.753, 0.907)
O (0.179, 0.441, 0.351)
O (0.208, 0.873, 0.639)
O (0.317, 0.181, 0.617)
O (0.327, 0.085, 0.078)
O (0.330, 0.646, 0.184)
O (0.493, 0.900, 0.095)
O (0.496, 0.365, 0.822)
O (0.497, 0.449, 0.169)
O (0.499, 0.436, 0.631)
O (0.501, 0.835, 0.836)
O (0.509, 0.833, 0.376)
O (0.514, 0.098, 0.907)
O (0.514, 0.177, 0.441)
O (0.515, 0.630, 0.432)
O (0.679, 0.189, 0.643)
O (0.689, 0.077, 0.088)
O (0.693, 0.648, 0.200)
O (0.809, 0.415, 0.318)
O (0.821, 0.644, 0.868)
O (0.857, 0.922, 0.743)
O (0.945, 0.736, 0.517)
O (0.968, 0.504, 0.990)
O (0.970, 0.960, 0.490)
O (0.982, 0.422, 0.512)

Most intense lines, 10° ≤ 2θ ≤ 90°, low angle first:
index  2theta  I_rel
0 1 -2  16.05  33.0
-1 1 1  18.84  37.0
1 1 -2  19.04  32.7
1 -2 1  19.24  33.1
1 1 1  19.51  100.0
2 0 0  21.16  61.8
2 -2 1  26.58  16.1
2 2 -1  26.98  31.4
0 0 3  27.90  36.6
0 3 0  28.09  29.5
0 3 -3  28.23  30.5
4 0 0  43.08  17.3